For Mg16Al12Pb, a cell relaxed with PBE gives the simulated powder diffraction line list in this record (Cu Kα X-rays).
Lines closer than 0.1° are merged.

Crystal structure
a b c (Å): 9.1781 9.1781 9.1781
angles (deg): 109.38 109.38 109.38
Positions (direct):
Mg  0.0000  0.0000  0.0000
Mg  0.2843  0.6822  0.6822
Mg  0.3150  0.5965  0.9971
Mg  0.3150  0.9971  0.5965
Mg  0.3417  0.9962  0.9962
Mg  0.3910  0.3910  0.7065
Mg  0.3910  0.7065  0.3910
Mg  0.5965  0.3150  0.9971
Mg  0.5965  0.9971  0.3150
Mg  0.6822  0.2843  0.6822
Mg  0.6822  0.6822  0.2843
Mg  0.7065  0.3910  0.3910
Mg  0.9962  0.3417  0.9962
Mg  0.9962  0.9962  0.3417
Mg  0.9971  0.3150  0.5965
Mg  0.9971  0.5965  0.3150
Al  0.0049  0.6308  0.8149
Al  0.0049  0.8149  0.6308
Al  0.1727  0.3595  0.3595
Al  0.1802  0.1802  0.8133
Al  0.1802  0.8133  0.1802
Al  0.3595  0.1727  0.3595
Al  0.3595  0.3595  0.1727
Al  0.6308  0.0049  0.8149
Al  0.6308  0.8149  0.0049
Al  0.8133  0.1802  0.1802
Al  0.8149  0.0049  0.6308
Al  0.8149  0.6308  0.0049
Pb  0.6580  0.6580  0.6580

Principal peaks in the range 10° ≤ 2θ ≤ 90°, low angle first:
11.80°, 7.500 Å, rel. 93.4
16.71°, 5.305 Å, rel. 21.8
20.51°, 4.331 Å, rel. 50.2
26.57°, 3.355 Å, rel. 34.2
31.50°, 2.840 Å, rel. 21.8
31.60°, 2.831 Å, rel. 24.2
35.88°, 2.503 Å, rel. 100.0
35.97°, 2.497 Å, rel. 50.5
39.91°, 2.259 Å, rel. 30.8
64.57°, 1.443 Å, rel. 19.9

For Mg17Al11Pb, a cell relaxed with PBE gives the simulated powder diffraction line list in this record (Cu Kα X-rays).
Lines closer than 0.1° are merged.

Crystal structure
a b c (Å): 9.2355 9.2355 9.2150
angles (deg): 109.50 109.50 109.32
Positions (direct):
Mg  0.0000  0.0000  0.0000
Mg  0.0239  0.6286  0.0202
Mg  0.0405  0.0405  0.6249
Mg  0.0674  0.7434  0.7443
Mg  0.3314  0.6824  0.3302
Mg  0.3352  0.3352  0.3339
Mg  0.3407  0.6585  0.9432
Mg  0.3449  0.9438  0.6541
Mg  0.3490  0.3490  0.6839
Mg  0.6286  0.0239  0.0202
Mg  0.6552  0.9545  0.3355
Mg  0.6585  0.3407  0.9432
Mg  0.6824  0.3314  0.3302
Mg  0.7410  0.7410  0.0554
Mg  0.7434  0.0674  0.7443
Mg  0.9438  0.3449  0.6541
Mg  0.9545  0.6552  0.3355
Al  0.1521  0.3392  0.9716
Al  0.1571  0.9761  0.3392
Al  0.1606  0.5244  0.5219
Al  0.3385  0.9749  0.1537
Al  0.3392  0.1521  0.9716
Al  0.5109  0.5109  0.1279
Al  0.5166  0.7054  0.7106
Al  0.5244  0.1606  0.5219
Al  0.7054  0.5166  0.7106
Al  0.9749  0.3385  0.1537
Al  0.9761  0.1571  0.3392
Pb  0.7144  0.7144  0.5131

Principal peaks in the range 10° ≤ 2θ ≤ 90°, low angle first:
11.74°, 7.538 Å, rel. 100.0
16.63°, 5.330 Å, rel. 24.9
20.40°, 4.353 Å, rel. 74.9
23.61°, 3.769 Å, rel. 29.4
26.42°, 3.374 Å, rel. 27.4
31.38°, 2.851 Å, rel. 45.5
35.67°, 2.517 Å, rel. 58.7
35.77°, 2.510 Å, rel. 88.8
39.63°, 2.274 Å, rel. 48.9
43.31°, 2.089 Å, rel. 34.7

For Mg16Al12Pb, a cell relaxed with PBE gives the simulated powder diffraction line list in this record (Cu Kα X-rays).
Lines closer than 0.1° are merged.

Crystal structure
a b c (Å): 9.1154 9.1154 9.0858
angles (deg): 108.59 108.59 109.24
Positions (direct):
Mg  0.0000  0.0000  0.0000
Mg  0.9996  0.9996  0.3436
Mg  0.0012  0.5989  0.3154
Mg  0.2851  0.6807  0.6796
Mg  0.3132  0.9945  0.5989
Mg  0.3201  0.6060  0.0047
Mg  0.3458  0.9960  0.9919
Mg  0.4019  0.7127  0.3988
Mg  0.5989  0.0012  0.3154
Mg  0.6060  0.3201  0.0047
Mg  0.6666  0.6666  0.6665
Mg  0.6807  0.2851  0.6796
Mg  0.6863  0.6863  0.2879
Mg  0.7127  0.4019  0.3988
Mg  0.9945  0.3132  0.5989
Mg  0.9960  0.3458  0.9919
Al  0.0014  0.6332  0.8164
Al  0.1716  0.1716  0.8205
Al  0.1739  0.3644  0.3500
Al  0.1877  0.8195  0.1859
Al  0.3644  0.1739  0.3500
Al  0.3674  0.3674  0.1728
Al  0.6332  0.0014  0.8164
Al  0.6422  0.8254  0.0085
Al  0.8121  0.9962  0.6317
Al  0.8195  0.1877  0.1859
Al  0.8254  0.6422  0.0085
Al  0.9962  0.8121  0.6317
Pb  0.3904  0.3904  0.7054

Principal peaks in the range 10° ≤ 2θ ≤ 90°, low angle first:
11.67°, 7.581 Å, rel. 90.9
11.95°, 7.406 Å, rel. 100.0
16.70°, 5.308 Å, rel. 34.0
20.13°, 4.412 Å, rel. 31.2
20.61°, 4.309 Å, rel. 67.3
35.50°, 2.529 Å, rel. 99.9
35.92°, 2.500 Å, rel. 53.9
36.18°, 2.483 Å, rel. 84.6
36.48°, 2.463 Å, rel. 45.9
40.29°, 2.239 Å, rel. 32.8

For Mg16Al12Pb, a cell relaxed with PBE gives the simulated powder diffraction line list in this record (Cu Kα X-rays).
Lines closer than 0.1° are merged.

Crystal structure
a b c (Å): 9.1736 9.1736 9.1736
angles (deg): 109.47 109.47 109.47
Positions (direct):
Mg  0.0000  0.0000  0.3503
Mg  0.0000  0.3152  0.6001
Mg  0.0000  0.3503  0.0000
Mg  0.0000  0.6001  0.3152
Mg  0.2849  0.6848  0.6848
Mg  0.3152  0.0000  0.6001
Mg  0.3152  0.6001  0.0000
Mg  0.3503  0.0000  0.0000
Mg  0.3999  0.3999  0.7151
Mg  0.3999  0.7151  0.3999
Mg  0.6001  0.0000  0.3152
Mg  0.6001  0.3152  0.0000
Mg  0.6497  0.6497  0.6497
Mg  0.6848  0.2849  0.6848
Mg  0.6848  0.6848  0.2849
Mg  0.7151  0.3999  0.3999
Al  0.0000  0.6274  0.8119
Al  0.0000  0.8119  0.6274
Al  0.1845  0.3726  0.3726
Al  0.1881  0.1881  0.8155
Al  0.1881  0.8155  0.1881
Al  0.3726  0.1845  0.3726
Al  0.3726  0.3726  0.1845
Al  0.6274  0.0000  0.8119
Al  0.6274  0.8119  0.0000
Al  0.8119  0.0000  0.6274
Al  0.8119  0.6274  0.0000
Al  0.8155  0.1881  0.1881
Pb  0.0000  0.0000  0.0000

Principal peaks in the range 10° ≤ 2θ ≤ 90°, low angle first:
11.82°, 7.490 Å, rel. 62.2
20.54°, 4.324 Å, rel. 31.3
26.61°, 3.350 Å, rel. 19.9
31.60°, 2.831 Å, rel. 33.7
35.97°, 2.497 Å, rel. 100.0
39.92°, 2.258 Å, rel. 20.5
41.78°, 2.162 Å, rel. 18.8
46.98°, 1.934 Å, rel. 14.1
61.94°, 1.498 Å, rel. 18.8
64.66°, 1.441 Å, rel. 29.3

For Pr2MgAl, a cell relaxed with PBE gives the simulated powder diffraction line list in this record (Cu Kα X-rays).
Lines closer than 0.1° are merged.

Crystal structure
a b c (Å): 5.4075 5.4075 5.4075
angles (deg): 60.00 60.00 60.00
Positions (direct):
Pr  0.2500  0.2500  0.2500
Pr  0.7500  0.7500  0.7500
Mg  0.0000  0.0000  0.0000
Al  0.5000  0.5000  0.5000

Principal peaks in the range 10° ≤ 2θ ≤ 90°, low angle first:
23.26°, 3.824 Å, rel. 57.2
33.13°, 2.704 Å, rel. 100.0
40.88°, 2.208 Å, rel. 17.7
47.56°, 1.912 Å, rel. 18.1
53.59°, 1.710 Å, rel. 24.2
59.19°, 1.561 Å, rel. 37.4
69.54°, 1.352 Å, rel. 11.5
74.44°, 1.275 Å, rel. 11.4
79.22°, 1.209 Å, rel. 15.9
83.93°, 1.153 Å, rel. 6.8

For PuMg16Al12, a cell relaxed with PBE gives the simulated powder diffraction line list in this record (Cu Kα X-rays).
Lines closer than 0.1° are merged.

Crystal structure
a b c (Å): 9.3007 9.3007 9.3007
angles (deg): 110.38 110.38 110.38
Positions (direct):
Pu  0.0000  0.0000  0.0000
Mg  0.0566  0.0566  0.6534
Mg  0.0566  0.6534  0.0566
Mg  0.0981  0.7675  0.7675
Mg  0.3720  0.3720  0.3720
Mg  0.3721  0.6829  0.9828
Mg  0.3721  0.9828  0.6829
Mg  0.3766  0.3766  0.7168
Mg  0.3766  0.7168  0.3766
Mg  0.6534  0.0566  0.0566
Mg  0.6829  0.3721  0.9828
Mg  0.6829  0.9828  0.3721
Mg  0.7168  0.3766  0.3766
Mg  0.7675  0.0981  0.7675
Mg  0.7675  0.7675  0.0981
Mg  0.9828  0.3721  0.6829
Mg  0.9828  0.6829  0.3721
Al  0.0075  0.1846  0.3659
Al  0.0075  0.3659  0.1846
Al  0.1846  0.0075  0.3659
Al  0.1846  0.3659  0.0075
Al  0.2038  0.5647  0.5647
Al  0.3659  0.0075  0.1846
Al  0.3659  0.1846  0.0075
Al  0.5647  0.2038  0.5647
Al  0.5647  0.5647  0.2038
Al  0.5689  0.7500  0.7500
Al  0.7500  0.5689  0.7500
Al  0.7500  0.7500  0.5689

Principal peaks in the range 10° ≤ 2θ ≤ 90°, low angle first:
11.59°, 7.636 Å, rel. 100.0
12.01°, 7.371 Å, rel. 73.3
16.72°, 5.303 Å, rel. 39.9
20.39°, 4.356 Å, rel. 47.7
26.29°, 3.390 Å, rel. 27.6
35.26°, 2.545 Å, rel. 47.2
35.85°, 2.505 Å, rel. 77.0
36.57°, 2.457 Å, rel. 81.0
39.26°, 2.295 Å, rel. 42.5
64.14°, 1.452 Å, rel. 28.2